This entry pairs a crystal structure of ThMg15Cd4 with its computed XRD peak list. Radiation: Cu Kα (weighted mean of Kα1 and Kα2). Structure: a DFT-relaxed cell (PBE, Alexandria).
Kinematic intensities with the Lorentz-polarization factor, no thermal factor.

```
ThMg15Cd4
1.0
4.6718 0.0000 0.0000
0.0000 4.6718 0.0000
0.0000 0.0000 21.0256
Th Mg Cd
1 15 4
direct
0.0000 0.0000 0.0000 Th
0.0000 0.5000 0.1117 Mg
0.0000 0.5000 0.3040 Mg
0.0000 0.5000 0.5000 Mg
0.0000 0.5000 0.6960 Mg
0.0000 0.5000 0.8883 Mg
0.5000 0.0000 0.1117 Mg
0.5000 0.0000 0.3040 Mg
0.5000 0.0000 0.5000 Mg
0.5000 0.0000 0.6960 Mg
0.5000 0.0000 0.8883 Mg
0.5000 0.5000 0.0000 Mg
0.5000 0.5000 0.2104 Mg
0.5000 0.5000 0.4007 Mg
0.5000 0.5000 0.5993 Mg
0.5000 0.5000 0.7896 Mg
0.0000 0.0000 0.2048 Cd
0.0000 0.0000 0.4041 Cd
0.0000 0.0000 0.5959 Cd
0.0000 0.0000 0.7952 Cd
```

Largest 12 diffraction maxima, most intense first, 10° ≤ 2θ ≤ 90°:
d [Å]	2theta	I_rel
2.598	34.5	1000
4.672	19.0	598
3.125	28.6	449
2.336	38.5	390
1.394	67.2	273
3.303	27.0	260
4.205	21.1	235
1.871	48.7	206
1.563	59.1	187
2.089	43.3	161
1.652	55.6	144
2.042	44.4	137

=====

This entry pairs a crystal structure of Th2Mg12Cd7 with its computed XRD peak list. Radiation: Cu Kα (weighted mean of Kα1 and Kα2). Structure: a DFT-relaxed cell (PBE, Alexandria).
Kinematic intensities with the Lorentz-polarization factor, no thermal factor.

```
Th2Mg12Cd7
1.0
13.0488 0.0000 0.0000
-6.5244 11.3006 0.0000
0.0000 0.0000 3.3163
Th Mg Cd
2 12 7
direct
0.3333 0.6667 0.2533 Th
0.6667 0.3333 0.7467 Th
0.0774 0.6213 0.7488 Mg
0.0780 0.8325 0.2417 Mg
0.1675 0.2455 0.2417 Mg
0.2455 0.0780 0.7583 Mg
0.3787 0.4561 0.7488 Mg
0.4561 0.0774 0.2512 Mg
0.5439 0.9226 0.7488 Mg
0.6213 0.5439 0.2512 Mg
0.7545 0.9220 0.2417 Mg
0.8325 0.7545 0.7583 Mg
0.9220 0.1675 0.7583 Mg
0.9226 0.3787 0.2512 Mg
0.0000 0.0000 0.5000 Cd
0.1326 0.4221 0.7512 Cd
0.2895 0.8674 0.7512 Cd
0.4221 0.2895 0.2488 Cd
0.5779 0.7105 0.7512 Cd
0.7105 0.1326 0.2488 Cd
0.8674 0.5779 0.2488 Cd
```

Largest 12 diffraction maxima, most intense first, 10° ≤ 2θ ≤ 90°:
d [Å]	2theta	I_rel
2.466	36.4	1000
2.619	34.2	893
6.524	13.6	526
2.860	31.3	514
4.271	20.8	412
2.042	44.4	280
3.767	23.6	267
2.278	39.6	244
1.376	68.1	212
1.621	56.8	202
1.529	60.5	188
3.262	27.3	170

=====

This entry pairs a crystal structure of MgZrTiCd with its computed XRD peak list. Radiation: Cu Kα (weighted mean of Kα1 and Kα2). Structure: a DFT-relaxed cell (PBE, Alexandria).
Kinematic intensities with the Lorentz-polarization factor, no thermal factor.

```
MgZrTiCd
1.0
-1.4975 1.4975 9.8918
1.4975 -1.4975 9.8918
1.4975 1.4975 -9.8918
Mg Zr Ti Cd
1 1 1 1
direct
0.0000 0.0000 0.0000 Mg
0.7557 0.7557 0.0000 Zr
0.1526 0.1526 0.0000 Ti
0.3830 0.3830 0.0000 Cd
```

Largest 12 diffraction maxima, most intense first, 10° ≤ 2θ ≤ 90°:
d [Å]	2theta	I_rel
2.388	37.7	1000
2.727	32.8	988
2.118	42.7	457
1.609	57.3	311
2.473	36.3	307
1.269	74.8	243
1.313	71.9	188
1.357	69.3	160
1.498	62.0	143
1.281	74.0	140
2.071	43.7	120
1.542	60.0	101

=====

This entry pairs a crystal structure of Mg2Tl2Cd15 with its computed XRD peak list. Radiation: Cu Kα (weighted mean of Kα1 and Kα2). Structure: a DFT-relaxed cell (PBE, Alexandria).
Kinematic intensities with the Lorentz-polarization factor, no thermal factor.

```
Mg2Tl2Cd15
1.0
5.1668 2.9830 5.0233
-5.1668 2.9830 5.0233
0.0000 -5.9661 5.0233
Mg Tl Cd
2 2 15
direct
0.1059 0.1059 0.1059 Mg
0.8941 0.8941 0.8941 Mg
0.3382 0.3382 0.3382 Tl
0.6618 0.6618 0.6618 Tl
0.0000 0.0000 0.5000 Cd
0.0000 0.2929 0.7071 Cd
0.0000 0.5000 0.0000 Cd
0.0000 0.7071 0.2929 Cd
0.1530 0.6395 0.6395 Cd
0.2929 0.0000 0.7071 Cd
0.2929 0.7071 0.0000 Cd
0.3605 0.3605 0.8470 Cd
0.3605 0.8470 0.3605 Cd
0.5000 0.0000 0.0000 Cd
0.6395 0.1530 0.6395 Cd
0.6395 0.6395 0.1530 Cd
0.7071 0.0000 0.2929 Cd
0.7071 0.2929 0.0000 Cd
0.8470 0.3605 0.3605 Cd
```

Largest 12 diffraction maxima, most intense first, 10° ≤ 2θ ≤ 90°:
d [Å]	2theta	I_rel
2.565	35.0	1000
2.583	34.7	453
2.512	35.7	393
2.297	39.2	347
2.882	31.0	221
3.602	24.7	216
2.983	30.0	209
2.500	35.9	202
1.801	50.7	197
1.492	62.2	166
1.629	56.5	163
1.460	63.7	146

=====

This entry pairs a crystal structure of Mg3TlCd9 with its computed XRD peak list. Radiation: Cu Kα (weighted mean of Kα1 and Kα2). Structure: a DFT-relaxed cell (PBE, Alexandria).
Kinematic intensities with the Lorentz-polarization factor, no thermal factor.

```
Mg3TlCd9
1.0
6.2432 0.0000 0.0000
-0.2867 6.7294 0.0000
-0.0344 -0.3543 7.9946
Mg Tl Cd
3 1 9
direct
0.0000 0.0000 0.0000 Mg
0.0000 0.5000 0.5000 Mg
0.5000 0.0000 0.5000 Mg
0.0000 0.5000 0.0000 Tl
0.0000 0.0000 0.5000 Cd
0.2530 0.7555 0.7468 Cd
0.2565 0.2474 0.2498 Cd
0.2827 0.2654 0.7633 Cd
0.5000 0.0000 0.0000 Cd
0.5000 0.5000 0.5000 Cd
0.7173 0.7346 0.2367 Cd
0.7435 0.7526 0.7502 Cd
0.7470 0.2445 0.2532 Cd
```

Largest 12 diffraction maxima, most intense first, 10° ≤ 2θ ≤ 90°:
d [Å]	2theta	I_rel
2.631	34.1	1000
2.518	35.7	909
2.337	38.5	833
2.452	36.7	831
2.466	36.4	824
2.239	40.3	588
3.852	23.1	456
1.999	45.4	434
3.990	22.3	363
4.081	21.8	327
3.965	22.4	323
4.903	18.1	305

=====

This entry pairs a crystal structure of Mg3TlCd3 with its computed XRD peak list. Radiation: Cu Kα (weighted mean of Kα1 and Kα2). Structure: a DFT-relaxed cell (PBE, Alexandria).
Kinematic intensities with the Lorentz-polarization factor, no thermal factor.

```
Mg3TlCd3
1.0
4.9600 -5.1612 0.0000
4.9600 5.1612 0.0000
0.0000 0.0000 6.4692
Mg Tl Cd
6 2 6
direct
0.0000 0.0000 0.2423 Mg
0.0000 0.0000 0.7577 Mg
0.0000 0.5000 0.2453 Mg
0.0000 0.5000 0.7547 Mg
0.5000 0.0000 0.2453 Mg
0.5000 0.0000 0.7547 Mg
0.3062 0.3062 0.5000 Tl
0.6938 0.6938 0.5000 Tl
0.2452 0.7548 0.5000 Cd
0.2754 0.2754 0.0000 Cd
0.2922 0.7078 0.0000 Cd
0.7078 0.2922 0.0000 Cd
0.7246 0.7246 0.0000 Cd
0.7548 0.2452 0.5000 Cd
```

Largest 12 diffraction maxima, most intense first, 10° ≤ 2θ ≤ 90°:
d [Å]	2theta	I_rel
2.399	37.5	1000
3.576	24.9	728
3.235	27.6	390
2.581	34.8	309
2.018	44.9	181
3.149	28.3	170
7.153	12.4	168
2.384	37.7	165
2.480	36.2	163
1.452	64.1	128
1.919	47.4	122
2.831	31.6	118

=====

This entry pairs a crystal structure of Mg7Tl3Cd with its computed XRD peak list. Radiation: Cu Kα (weighted mean of Kα1 and Kα2). Structure: a DFT-relaxed cell (PBE, Alexandria).
Kinematic intensities with the Lorentz-polarization factor, no thermal factor.

```
Mg7Tl3Cd
1.0
5.3432 -5.4450 0.0000
5.3432 5.4450 0.0000
-2.9115 0.0000 4.7620
Mg Tl Cd
7 3 1
direct
0.0000 0.0000 0.0000 Mg
0.0956 0.5607 0.3282 Mg
0.3142 0.3142 0.8188 Mg
0.4393 0.9044 0.6718 Mg
0.5607 0.0956 0.3282 Mg
0.6858 0.6858 0.1812 Mg
0.9044 0.4393 0.6718 Mg
0.2669 0.7331 0.0000 Tl
0.5000 0.5000 0.5000 Tl
0.7331 0.2669 0.0000 Tl
0.0000 0.0000 0.5000 Cd
```

Largest 12 diffraction maxima, most intense first, 10° ≤ 2θ ≤ 90°:
d [Å]	2theta	I_rel
3.584	24.8	1000
2.397	37.5	637
4.559	19.5	498
2.791	32.1	284
2.722	32.9	239
2.380	37.8	191
1.949	46.6	182
2.337	38.5	165
1.523	60.8	156
1.792	51.0	150
1.729	53.0	131
1.501	61.8	118

=====

This entry pairs a crystal structure of Mg6Tl3Cd with its computed XRD peak list. Radiation: Cu Kα (weighted mean of Kα1 and Kα2). Structure: a DFT-relaxed cell (PBE, Alexandria).
Kinematic intensities with the Lorentz-polarization factor, no thermal factor.

```
Mg6Tl3Cd
1.0
8.5905 0.0000 0.0000
0.0000 5.2250 0.0000
-4.1224 0.0000 10.5766
Mg Tl Cd
12 6 2
direct
0.0380 0.2500 0.4250 Mg
0.1737 0.7500 0.1775 Mg
0.2507 0.2500 0.0211 Mg
0.3391 0.2500 0.3264 Mg
0.3652 0.7500 0.7870 Mg
0.4372 0.2500 0.6356 Mg
0.5628 0.7500 0.3644 Mg
0.6348 0.2500 0.2130 Mg
0.6609 0.7500 0.6736 Mg
0.7493 0.7500 0.9789 Mg
0.8263 0.2500 0.8225 Mg
0.9620 0.7500 0.5750 Mg
0.0454 0.7500 0.8804 Tl
0.1354 0.2500 0.7202 Tl
0.2824 0.7500 0.4837 Tl
0.7176 0.2500 0.5163 Tl
0.8646 0.7500 0.2798 Tl
0.9546 0.2500 0.1196 Tl
0.4599 0.7500 0.0768 Cd
0.5401 0.2500 0.9232 Cd
```

Largest 12 diffraction maxima, most intense first, 10° ≤ 2θ ≤ 90°:
d [Å]	2theta	I_rel
3.757	23.7	1000
2.512	35.7	719
2.498	36.0	643
2.612	34.3	446
3.361	26.5	407
2.703	33.1	291
2.401	37.5	268
2.063	43.9	216
1.879	48.5	201
1.485	62.6	185
8.004	11.1	185
1.488	62.4	142